This entry pairs a crystal structure of Tm8Ni with its theoretical powder diffraction line list. Radiation: CuKα. Structure: a PBE-relaxed structure.
Lines closer than 0.1° are merged.

Structural model:
Unit cell a=8.9489 b=8.9489 c=3.5673 alpha=90.00 beta=90.00 gamma=120.00
Fractional coordinates of all 9 atoms:
Tm 0.0000 0.2388 0.0000
Tm 0.0000 0.6117 0.5000
Tm 0.2388 0.0000 0.0000
Tm 0.3333 0.6667 0.0000
Tm 0.3883 0.3883 0.5000
Tm 0.6117 0.0000 0.5000
Tm 0.6667 0.3333 0.0000
Tm 0.7612 0.7612 0.0000
Ni 0.0000 0.0000 0.5000

Principal peaks in the range 2θ = 5–70°, in order of falling intensity:
| 2θ/deg | d_spacing | Rel. int. |
| --- | --- | --- |
| 32.1 | 2.789 | 100 |
| 30.5 | 2.929 | 76 |
| 34.2 | 2.625 | 54 |
| 34.7 | 2.583 | 47 |
| 39.8 | 2.264 | 35 |
| 58.0 | 1.591 | 30 |
| 60.6 | 1.528 | 22 |
| 60.8 | 1.523 | 22 |
| 63.4 | 1.468 | 16 |
| 51.2 | 1.784 | 15 |

***

This entry pairs a crystal structure of Tm4InCu2Si4 with its theoretical powder diffraction line list. Radiation: CuKα. Structure: a PBE-relaxed structure.
Lines closer than 0.1° are merged.

Structural model:
Unit cell a=7.8702 b=7.8702 c=6.9438 alpha=107.89 beta=107.89 gamma=30.67
Fractional coordinates of all 11 atoms:
Tm 0.0886 0.0886 0.3845
Tm 0.1528 0.1528 0.9313
Tm 0.8472 0.8472 0.0687
Tm 0.9114 0.9114 0.6155
In 0.5000 0.5000 0.0000
Cu 0.2833 0.2833 0.3638
Cu 0.7167 0.7167 0.6362
Si 0.3010 0.3010 0.7474
Si 0.4388 0.4388 0.3446
Si 0.5612 0.5612 0.6554
Si 0.6990 0.6990 0.2526

Principal peaks in the range 2θ = 5–70°, in order of falling intensity:
| 2θ/deg | d_spacing | Rel. int. |
| --- | --- | --- |
| 36.9 | 2.439 | 100 |
| 35.1 | 2.555 | 88 |
| 34.1 | 2.631 | 68 |
| 43.5 | 2.081 | 51 |
| 38.0 | 2.367 | 43 |
| 28.4 | 3.144 | 40 |
| 33.7 | 2.659 | 39 |
| 22.2 | 3.998 | 35 |
| 35.5 | 2.527 | 32 |
| 33.4 | 2.686 | 30 |

***

This entry pairs a crystal structure of DyTm2Mg3In3 with its theoretical powder diffraction line list. Radiation: CuKα. Structure: a PBE-relaxed structure.
Lines closer than 0.1° are merged.

Structural model:
Unit cell a=4.6507 b=7.4715 c=7.4715 alpha=120.27 beta=90.00 gamma=90.00
Fractional coordinates of all 9 atoms:
Dy 0.0000 0.0000 0.0000
Tm 0.0000 0.1280 0.5639
Tm 0.0000 0.5639 0.1280
Mg 0.5000 0.3216 0.3216
Mg 0.5000 0.5634 0.8048
Mg 0.5000 0.8048 0.5634
In 0.0000 0.5609 0.5609
In 0.5000 0.2316 0.8961
In 0.5000 0.8961 0.2316

Principal peaks in the range 2θ = 5–70°, in order of falling intensity:
| 2θ/deg | d_spacing | Rel. int. |
| --- | --- | --- |
| 33.8 | 2.653 | 100 |
| 30.7 | 2.910 | 51 |
| 38.7 | 2.325 | 23 |
| 27.6 | 3.226 | 18 |
| 19.1 | 4.651 | 14 |
| 67.0 | 1.398 | 14 |
| 13.7 | 6.464 | 12 |
| 48.2 | 1.887 | 12 |
| 23.8 | 3.736 | 11 |
| 36.8 | 2.445 | 11 |

***

This entry pairs a crystal structure of PuHfCBr2 with its theoretical powder diffraction line list. Radiation: CuKα. Structure: a PBE-relaxed structure.
Lines closer than 0.1° are merged.

Structural model:
Unit cell a=3.5418 b=3.5418 c=10.6267 alpha=90.00 beta=90.00 gamma=120.00
Fractional coordinates of all 5 atoms:
Pu 0.0000 0.0000 0.0000
Hf 0.3333 0.6667 0.7576
C 0.6667 0.3333 0.8572
Br 0.0000 0.0000 0.5778
Br 0.3333 0.6667 0.1974

Principal peaks in the range 2θ = 5–70°, in order of falling intensity:
| 2θ/deg | d_spacing | Rel. int. |
| --- | --- | --- |
| 8.3 | 10.627 | 100 |
| 33.7 | 2.656 | 92 |
| 38.8 | 2.319 | 32 |
| 63.1 | 1.474 | 24 |
| 29.1 | 3.067 | 23 |
| 69.0 | 1.361 | 21 |
| 51.6 | 1.771 | 20 |
| 52.4 | 1.747 | 18 |
| 30.3 | 2.947 | 14 |
| 45.2 | 2.008 | 10 |

***

This entry pairs a crystal structure of Y2ErMg3AgAu2 with its theoretical powder diffraction line list. Radiation: CuKα. Structure: a PBE-relaxed structure.
Lines closer than 0.1° are merged.

Structural model:
Unit cell a=3.9910 b=7.7089 c=7.7089 alpha=119.73 beta=90.00 gamma=90.00
Fractional coordinates of all 9 atoms:
Y 0.0000 0.2068 0.7932
Y 0.0000 0.7932 0.2068
Er 0.0000 0.6208 0.6208
Mg 0.5000 0.2070 0.4574
Mg 0.5000 0.4574 0.2070
Mg 0.5000 0.9569 0.9569
Ag 0.0000 0.2090 0.2090
Au 0.5000 0.5413 0.8704
Au 0.5000 0.8704 0.5413

Principal peaks in the range 2θ = 5–70°, in order of falling intensity:
| 2θ/deg | d_spacing | Rel. int. |
| --- | --- | --- |
| 35.0 | 2.562 | 100 |
| 32.3 | 2.774 | 93 |
| 23.0 | 3.862 | 65 |
| 13.2 | 6.693 | 39 |
| 42.3 | 2.136 | 34 |
| 26.0 | 3.426 | 30 |
| 40.4 | 2.231 | 29 |
| 45.5 | 1.996 | 22 |
| 40.6 | 2.222 | 18 |
| 65.2 | 1.430 | 16 |

***

This entry pairs a crystal structure of AgIO6 with its theoretical powder diffraction line list. Radiation: CuKα. Structure: a PBE-relaxed structure.
Lines closer than 0.1° are merged.

Structural model:
Unit cell a=5.3002 b=5.3002 c=5.3002 alpha=60.00 beta=60.00 gamma=60.00
Fractional coordinates of all 8 atoms:
Ag 0.0000 0.0000 0.0000
I 0.2500 0.2500 0.2500
O 0.0002 0.0002 0.4998
O 0.0002 0.4998 0.0002
O 0.0002 0.4998 0.4998
O 0.4998 0.0002 0.0002
O 0.4998 0.0002 0.4998
O 0.4998 0.4998 0.0002

Principal peaks in the range 2θ = 5–70°, in order of falling intensity:
| 2θ/deg | d_spacing | Rel. int. |
| --- | --- | --- |
| 20.5 | 4.328 | 100 |
| 33.8 | 2.650 | 62 |
| 39.9 | 2.260 | 53 |
| 48.6 | 1.874 | 28 |
| 60.5 | 1.530 | 23 |
| 53.3 | 1.720 | 22 |
| 64.6 | 1.443 | 16 |
| 23.7 | 3.748 | 4 |
| 41.7 | 2.164 | 4 |
| 54.8 | 1.676 | 1 |

***

This entry pairs a crystal structure of TmLu2Cu4Si4 with its theoretical powder diffraction line list. Radiation: CuKα. Structure: a PBE-relaxed structure.
Lines closer than 0.1° are merged.

Structural model:
Unit cell a=7.7329 b=7.7329 c=7.7329 alpha=149.55 beta=130.51 gamma=59.22
Fractional coordinates of all 11 atoms:
Tm 0.0000 0.0000 0.0000
Lu 0.3716 0.8716 0.5000
Lu 0.6284 0.1284 0.5000
Cu 0.0230 0.3303 0.6927
Cu 0.3625 0.6697 0.6927
Cu 0.6375 0.3303 0.3073
Cu 0.9770 0.6697 0.3073
Si 0.2164 0.2164 0.0000
Si 0.3138 0.5000 0.8138
Si 0.6862 0.5000 0.1862
Si 0.7836 0.7836 0.0000

Principal peaks in the range 2θ = 5–70°, in order of falling intensity:
| 2θ/deg | d_spacing | Rel. int. |
| --- | --- | --- |
| 36.1 | 2.486 | 100 |
| 37.4 | 2.404 | 81 |
| 46.7 | 1.944 | 27 |
| 44.6 | 2.030 | 26 |
| 24.2 | 3.685 | 24 |
| 22.9 | 3.887 | 19 |
| 66.6 | 1.404 | 18 |
| 29.2 | 3.062 | 17 |
| 40.2 | 2.241 | 16 |
| 40.9 | 2.204 | 14 |

***

This entry pairs a crystal structure of Zr3H4Se6O25 with its theoretical powder diffraction line list. Radiation: CuKα. Structure: a PBE-relaxed structure.
Lines closer than 0.1° are merged.

Structural model:
Unit cell a=5.2356 b=7.9560 c=11.9004 alpha=82.69 beta=87.47 gamma=89.50
Fractional coordinates of all 38 atoms:
Zr 0.0000 0.0000 0.0000
Zr 0.3042 0.6012 0.6960
Zr 0.6899 0.4287 0.3136
H 0.2350 0.9505 0.5973
H 0.4252 0.9389 0.6977
H 0.5742 0.0877 0.3060
H 0.7582 0.0769 0.4080
Se 0.1703 0.2998 0.5069
Se 0.2219 0.3730 0.1184
Se 0.4883 0.8368 0.1829
Se 0.5226 0.1866 0.8235
Se 0.7555 0.6180 0.8944
Se 0.8249 0.7250 0.4987
O 0.0267 0.4536 0.2152
O 0.0822 0.1910 0.1005
O 0.1236 0.6730 0.5339
O 0.2115 0.3482 0.6371
O 0.2238 0.1164 0.8611
O 0.2337 0.1026 0.4919
O 0.2473 0.5023 0.0017
O 0.2818 0.8780 0.6684
O 0.3268 0.8712 0.0626
O 0.3556 0.9250 0.2874
O 0.3565 0.4261 0.4126
O 0.4966 0.3135 0.1797
O 0.5102 0.3977 0.7997
O 0.5103 0.6252 0.1991
O 0.5158 0.7120 0.8159
O 0.6312 0.5991 0.5871
O 0.6483 0.0913 0.7210
O 0.6898 0.1583 0.9428
O 0.7095 0.1527 0.3379
O 0.7624 0.9239 0.5100
O 0.7841 0.9135 0.1506
O 0.7905 0.6752 0.3672
O 0.8706 0.3526 0.4727
O 0.8882 0.8056 0.9253
O 0.9733 0.5761 0.7885

Principal peaks in the range 2θ = 5–70°, in order of falling intensity:
| 2θ/deg | d_spacing | Rel. int. |
| --- | --- | --- |
| 23.2 | 3.831 | 100 |
| 25.8 | 3.447 | 77 |
| 22.8 | 3.894 | 60 |
| 28.9 | 3.090 | 50 |
| 30.0 | 2.982 | 31 |
| 36.2 | 2.480 | 27 |
| 11.2 | 7.891 | 22 |
| 14.3 | 6.204 | 22 |
| 30.3 | 2.954 | 19 |
| 53.4 | 1.714 | 18 |